Theoretical X-ray diffraction stick pattern
Compound: CeNi2Sb2
Radiation: copper Kα
Structure: a structure optimized by DFT (PBE)
Lines closer than 0.1° are merged.

Most intense lines, 2θ = 10–80°, by angle:
2θ/deg  I (rel.)
28.1  15
33.6  100
33.9  68
40.1  77
46.7  21
50.7  20
53.5  36
58.1  25
66.6  20
68.8  24

Cell and atoms:
```
data_CeNi2Sb2
_chemical_formula_sum 'Ce2 Ni4 Sb4'
_cell_length_a 4.4935
_cell_length_b 4.4935
_cell_length_c 9.8240
_cell_angle_alpha 90.00
_cell_angle_beta 90.00
_cell_angle_gamma 90.00
_symmetry_space_group_name_H-M 'P 4/n m m'
_symmetry_Int_Tables_number 129
loop_
_symmetry_equiv_pos_as_xyz
'x,y,z'
'-x,-y,-z'
'-y+1/2,x,z'
'y+1/2,-x,-z'
'-x+1/2,-y+1/2,z'
'x+1/2,y+1/2,-z'
'y,-x+1/2,z'
'-y,x+1/2,-z'
'x+1/2,-y,-z'
'-x+1/2,y,z'
'-y,-x,-z'
'y,x,z'
'-x,y+1/2,-z'
'x,-y+1/2,z'
'y+1/2,x+1/2,-z'
'-y+1/2,-x+1/2,z'
loop_
_atom_site_label
_atom_site_type_symbol
_atom_site_fract_x
_atom_site_fract_y
_atom_site_fract_z
Ce1 Ce 0.2500 0.2500 0.2394
Ni1 Ni 0.2500 0.2500 0.6194
Ni2 Ni 0.2500 0.7500 0.0000
Sb1 Sb 0.2500 0.2500 0.8732
Sb2 Sb 0.2500 0.7500 0.5000
```



Theoretical X-ray diffraction stick pattern
Compound: MgVS2
Radiation: copper Kα
Structure: a structure optimized by DFT (PBE)
Lines closer than 0.1° are merged.

Most intense lines, 2θ = 10–80°, by angle:
2θ/deg  I (rel.)
13.7  62
27.5  19
28.1  82
33.4  100
36.2  24
42.9  20
43.0  38
46.8  39
46.9  19
48.9  76

Cell and atoms:
```
data_MgVS2
_chemical_formula_sum 'Mg2 V2 S4'
_cell_length_a 6.4479
_cell_length_b 3.7210
_cell_length_c 6.8332
_cell_angle_alpha 90.00
_cell_angle_beta 108.52
_cell_angle_gamma 90.00
_symmetry_space_group_name_H-M 'C 1 m 1'
_symmetry_Int_Tables_number 8
loop_
_symmetry_equiv_pos_as_xyz
'x,y,z'
'x,-y,z'
'x+1/2,y+1/2,z'
'x+1/2,-y+1/2,z'
loop_
_atom_site_label
_atom_site_type_symbol
_atom_site_fract_x
_atom_site_fract_y
_atom_site_fract_z
Mg1 Mg 0.0000 0.0000 0.0000
V1 V 0.3449 0.5000 0.5408
S1 S 0.1018 0.5000 0.8077
S2 S 0.1205 0.0000 0.3695
```



Theoretical X-ray diffraction stick pattern
Compound: Sn2Pd3Pt3
Radiation: copper Kα
Structure: a structure optimized by DFT (PBE)
Lines closer than 0.1° are merged.

Most intense lines, 2θ = 10–80°, by angle:
2θ/deg  I (rel.)
10.9  2
22.0  4
31.2  4
38.5  100
44.6  17
44.9  33
65.1  22
65.3  11
78.0  13
78.4  26

Cell and atoms:
```
data_Sn2Pd3Pt3
_chemical_formula_sum 'Sn2 Pd3 Pt3'
_cell_length_a 4.0401
_cell_length_b 4.0655
_cell_length_c 8.0857
_cell_angle_alpha 90.00
_cell_angle_beta 90.00
_cell_angle_gamma 90.00
_symmetry_space_group_name_H-M 'P m m m'
_symmetry_Int_Tables_number 47
loop_
_symmetry_equiv_pos_as_xyz
'x,y,z'
'-x,-y,-z'
'-x,-y,z'
'x,y,-z'
'x,-y,-z'
'-x,y,z'
'-x,y,-z'
'x,-y,z'
loop_
_atom_site_label
_atom_site_type_symbol
_atom_site_fract_x
_atom_site_fract_y
_atom_site_fract_z
Sn1 Sn 0.0000 0.0000 0.2486
Pd1 Pd 0.0000 0.5000 0.0000
Pd2 Pd 0.5000 0.5000 0.2500
Pt1 Pt 0.0000 0.5000 0.5000
Pt2 Pt 0.5000 0.0000 0.0000
Pt3 Pt 0.5000 0.0000 0.5000
```



Theoretical X-ray diffraction stick pattern
Compound: TmMgAg
Radiation: copper Kα
Structure: a structure optimized by DFT (PBE)
Lines closer than 0.1° are merged.

Most intense lines, 2θ = 10–80°, by angle:
2θ/deg  I (rel.)
23.1  39
26.7  26
32.1  92
34.8  100
35.6  25
40.6  33
42.2  26
49.2  23
54.5  27
65.1  25

Cell and atoms:
```
data_TmMgAg
_chemical_formula_sum 'Tm3 Mg3 Ag3'
_cell_length_a 7.7047
_cell_length_b 7.7047
_cell_length_c 4.0506
_cell_angle_alpha 90.00
_cell_angle_beta 90.00
_cell_angle_gamma 120.00
_symmetry_space_group_name_H-M 'P -6 2 m'
_symmetry_Int_Tables_number 189
_symmetry_space_group_name_Hall 'P -6 -2'
loop_
_atom_site_label
_atom_site_type_symbol
_atom_site_fract_x
_atom_site_fract_y
_atom_site_fract_z
Tm1 Tm 0.0000 0.5892 0.0000
Mg1 Mg 0.0000 0.2497 0.5000
Ag1 Ag 0.0000 0.0000 0.0000
Ag2 Ag 0.3333 0.6667 0.5000
```



Theoretical X-ray diffraction stick pattern
Compound: Rb3Dy
Radiation: copper Kα
Structure: a structure optimized by DFT (PBE)
Lines closer than 0.1° are merged.

Most intense lines, 2θ = 10–80°, by angle:
2θ/deg  I (rel.)
15.1  6
24.7  100
29.1  4
35.3  20
43.5  43
50.7  14
57.2  19
63.3  5
69.0  22
79.9  11

Cell and atoms:
```
data_Rb3Dy
_chemical_formula_sum 'Rb12 Dy4'
_cell_length_a 10.1838
_cell_length_b 10.1838
_cell_length_c 10.1838
_cell_angle_alpha 90.00
_cell_angle_beta 90.00
_cell_angle_gamma 90.00
_symmetry_space_group_name_H-M 'F m -3 m'
_symmetry_Int_Tables_number 225
_symmetry_space_group_name_Hall '-F 4 2 3'
loop_
_atom_site_label
_atom_site_type_symbol
_atom_site_fract_x
_atom_site_fract_y
_atom_site_fract_z
Rb1 Rb 0.0000 0.0000 0.0000
Rb2 Rb 0.2500 0.2500 0.2500
Dy1 Dy 0.0000 0.0000 0.5000
```



Theoretical X-ray diffraction stick pattern
Compound: K2TlAgF6
Radiation: copper Kα
Structure: a structure optimized by DFT (PBE)
Lines closer than 0.1° are merged.

Most intense lines, 2θ = 10–80°, by angle:
2θ/deg  I (rel.)
16.8  14
19.4  67
27.6  100
39.4  39
44.3  32
48.8  41
56.9  25
60.7  16
64.4  18
78.2  21

Cell and atoms:
```
data_K2TlAgF6
_chemical_formula_sum 'K8 Tl4 Ag4 F24'
_cell_length_a 9.1508
_cell_length_b 9.1508
_cell_length_c 9.1508
_cell_angle_alpha 90.00
_cell_angle_beta 90.00
_cell_angle_gamma 90.00
_symmetry_space_group_name_H-M 'F m -3 m'
_symmetry_Int_Tables_number 225
_symmetry_space_group_name_Hall '-F 4 2 3'
loop_
_atom_site_label
_atom_site_type_symbol
_atom_site_fract_x
_atom_site_fract_y
_atom_site_fract_z
K1 K 0.2500 0.2500 0.2500
Tl1 Tl 0.0000 0.0000 0.0000
Ag1 Ag 0.0000 0.0000 0.5000
F1 F 0.0000 0.0000 0.2413
```